For Ba2Ti2Fe2As4O, DFT lattice parameters and positions (PBE+U) gives the computed powder diffractogram in this record (Cu Ka).

Cell: 4.1014 4.1014 28.7097 Å, 90.00 90.00 90.00°
Space group I4/mmm (No. 139)
Symmetry-distinct sites (fractional):
Ba: 0.0000 0.0000 0.1278 [4 per cell]
Ti: 0.0000 0.5000 0.0000 [4 per cell]
Fe: 0.0000 0.5000 0.2500 [4 per cell]
As: 0.0000 0.0000 0.3065 [4 per cell]
As: 0.0000 0.0000 0.4379 [4 per cell]
O: 0.0000 0.0000 0.0000 [2 per cell]

Principal peaks in the range 2θ from 10° to 90°, by intensity:
| 2θ (°) | I_rel |
| --- | --- |
| 30.83 | 100 |
| 33.32 | 54 |
| 44.16 | 42 |
| 26.71 | 31 |
| 54.83 | 30 |
| 49.38 | 25 |
| 35.66 | 25 |
| 69.62 | 18 |
| 64.23 | 14 |
| 50.89 | 12 |